# 1
# Fe2WO6
Simulated X-ray powder pattern, Cu Ka. Input: a PBE+U-relaxed structure.
Peak positions follow from Bragg's law for the DFT cell and can differ from measured ones.

Most intense lines, 2θ from 10° to 80°, sorted by position:
(hkl)	d (Å)	2theta	I (rel.)
1 1 0	4.462	19.9	19
0 2 1	4.354	20.4	35
1 3 0	3.580	24.9	44
1 3 1	2.925	30.6	100
0 0 2	2.537	35.4	17
0 6 1	2.470	36.4	27
1 9 0	1.746	52.4	16
2 0 2	1.709	53.6	19
2 6 1	1.688	54.3	32
1 9 2	1.438	64.8	16

Crystal structure
```
data_Fe2WO6
_space_group_name_H-M_alt 'P b c n'
_space_group_IT_number 60
_cell_length_a 4.625
_cell_length_b 16.966
_cell_length_c 5.074
_cell_angle_alpha 90.00
_cell_angle_beta 90.00
_cell_angle_gamma 90.00
loop_
_space_group_symop_operation_xyz
'x,y,z'
'-x,-y,-z'
'-x+1/2,-y+1/2,z+1/2'
'x+1/2,y+1/2,-z+1/2'
'x+1/2,-y+1/2,-z'
'-x+1/2,y+1/2,z'
'-x,y,-z+1/2'
'x,-y,z+1/2'
loop_
_atom_site_label
_atom_site_type_symbol
_atom_site_fract_x
_atom_site_fract_y
_atom_site_fract_z
Fe1 Fe 0.000 0.053 0.250
Fe2 Fe 0.000 0.278 0.750
W1 W 0.000 0.384 0.250
O1 O 0.225 0.297 0.084
O2 O 0.227 0.374 0.570
O3 O 0.236 0.041 0.593
```

***

# 2
# Mn3OF5
Simulated X-ray powder pattern, Cu Ka. Input: a PBE+U-relaxed structure.
Peak positions follow from Bragg's law for the DFT cell and can differ from measured ones.

Most intense lines, 2θ from 10° to 80°, sorted by position:
(hkl)	d (Å)	2theta	I (rel.)
1 -1 0	3.449	25.8	100
1 1 2	3.417	26.1	93
1 2 0	2.737	32.7	27
0 1 -2	2.726	32.9	53
1 0 -2	2.716	33.0	26
2 2 1	2.375	37.9	21
3 0 0	1.812	50.4	46
1 0 4	1.808	50.5	30
2 2 4	1.709	53.6	18
2 2 -2	1.647	55.8	22

Crystal structure
```
data_Mn3OF5
_space_group_name_H-M_alt 'P 1'
_space_group_IT_number 1
_cell_length_a 5.858
_cell_length_b 5.892
_cell_length_c 7.575
_cell_angle_alpha 73.76
_cell_angle_beta 73.48
_cell_angle_gamma 71.90
loop_
_space_group_symop_operation_xyz
'x,y,z'
loop_
_atom_site_label
_atom_site_type_symbol
_atom_site_fract_x
_atom_site_fract_y
_atom_site_fract_z
Mn1 Mn 0.000 0.000 0.000
Mn2 Mn 0.001 0.993 0.482
Mn3 Mn 0.300 0.310 0.153
Mn4 Mn 0.322 0.316 0.674
Mn5 Mn 0.662 0.651 0.826
Mn6 Mn 0.683 0.614 0.319
O1 O 0.219 0.227 0.961
O2 O 0.976 0.315 0.324
F1 F 0.029 0.644 0.643
F2 F 0.087 0.085 0.692
F3 F 0.299 0.681 0.992
F4 F 0.372 0.921 0.330
F5 F 0.419 0.400 0.355
F6 F 0.571 0.540 0.618
F7 F 0.635 0.015 0.653
F8 F 0.661 0.285 0.003
F9 F 0.776 0.751 0.027
F10 F 0.895 0.867 0.298
```

***

# 3
# MgV4O5F7
Simulated X-ray powder pattern, Cu Ka. Input: a PBE+U-relaxed structure.
Peak positions follow from Bragg's law for the DFT cell and can differ from measured ones.

Most intense lines, 2θ from 10° to 80°, sorted by position:
(hkl)	d (Å)	2theta	I (rel.)
1 -1 0	3.849	23.1	100
1 1 0	3.605	24.7	54
1 -1 2	2.750	32.6	14
1 1 -2	2.702	33.2	14
1 0 -3	2.317	38.9	13
2 -1 1	2.271	39.7	14
2 -2 0	1.924	47.2	26
2 2 0	1.802	50.6	13
2 -2 2	1.736	52.7	23
-2 2 2	1.707	53.7	11

Crystal structure
```
data_MgV4O5F7
_space_group_name_H-M_alt 'P 1'
_space_group_IT_number 1
_cell_length_a 5.129
_cell_length_b 5.440
_cell_length_c 7.709
_cell_angle_alpha 93.00
_cell_angle_beta 91.13
_cell_angle_gamma 93.69
loop_
_space_group_symop_operation_xyz
'x,y,z'
loop_
_atom_site_label
_atom_site_type_symbol
_atom_site_fract_x
_atom_site_fract_y
_atom_site_fract_z
Mg1 Mg 0.000 0.000 0.000
V1 V 0.457 0.076 0.699
V2 V 0.479 0.090 0.245
V3 V 0.973 0.572 0.724
V4 V 0.974 0.589 0.239
O1 O 0.175 0.872 0.787
O2 O 0.246 0.834 0.175
O3 O 0.377 0.094 0.487
O4 O 0.684 0.362 0.267
O5 O 0.767 0.307 0.706
F1 F 0.096 0.570 0.485
F2 F 0.170 0.289 0.149
F3 F 0.266 0.362 0.795
F4 F 0.625 0.068 0.984
F5 F 0.676 0.789 0.674
F6 F 0.769 0.883 0.296
F7 F 0.864 0.626 0.983
```

***

# 4
# MgMn6O8F4
Simulated X-ray powder pattern, Cu Ka. Input: a PBE+U-relaxed structure.
Peak positions follow from Bragg's law for the DFT cell and can differ from measured ones.

Most intense lines, 2θ from 10° to 80°, sorted by position:
(hkl)	d (Å)	2theta	I (rel.)
1 1 1	3.515	25.3	100
-1 1 1	3.385	26.3	87
1 -1 2	2.646	33.9	30
0 0 3	2.603	34.5	24
0 2 -1	2.565	35.0	22
1 1 -2	2.549	35.2	18
2 0 3	1.839	49.6	21
2 -2 1	1.788	51.1	23
2 2 -1	1.762	51.9	19
2 2 2	1.758	52.0	34

Crystal structure
```
data_MgMn6O8F4
_space_group_name_H-M_alt 'P 1'
_space_group_IT_number 1
_cell_length_a 4.926
_cell_length_b 5.678
_cell_length_c 7.870
_cell_angle_alpha 83.63
_cell_angle_beta 86.76
_cell_angle_gamma 89.42
loop_
_space_group_symop_operation_xyz
'x,y,z'
loop_
_atom_site_label
_atom_site_type_symbol
_atom_site_fract_x
_atom_site_fract_y
_atom_site_fract_z
Mg1 Mg 0.000 0.000 0.000
Mn1 Mn 0.030 0.823 0.644
Mn2 Mn 0.496 0.327 0.689
Mn3 Mn 0.500 0.998 0.002
Mn4 Mn 0.506 0.668 0.315
Mn5 Mn 0.974 0.171 0.357
Mn6 Mn 0.999 0.500 0.002
O1 O 0.208 0.546 0.769
O2 O 0.209 0.888 0.427
O3 O 0.253 0.734 0.084
O4 O 0.292 0.064 0.803
O5 O 0.710 0.931 0.199
O6 O 0.745 0.264 0.918
O7 O 0.791 0.449 0.234
O8 O 0.798 0.105 0.574
F1 F 0.206 0.208 0.135
F2 F 0.306 0.393 0.435
F3 F 0.698 0.600 0.569
F4 F 0.795 0.791 0.866
```

***

# 5
# CaLaTiMnO6
Simulated X-ray powder pattern, Cu Ka. Input: a PBE+U-relaxed structure.
Peak positions follow from Bragg's law for the DFT cell and can differ from measured ones.

Most intense lines, 2θ from 10° to 80°, sorted by position:
(hkl)	d (Å)	2theta	I (rel.)
0 1 1	4.556	19.5	47
1 0 0	4.521	19.6	24
1 0 -2	4.477	19.8	25
0 2 0	2.837	31.5	48
2 0 -2	2.782	32.2	48
1 1 1	2.765	32.4	100
1 1 -3	2.744	32.6	94
2 2 -2	1.986	45.7	62
0 0 4	1.911	47.6	31
2 0 2	1.584	58.2	30

Crystal structure
```
data_CaLaTiMnO6
_space_group_name_H-M_alt 'P 1 c 1'
_space_group_IT_number 7
_cell_length_a 5.565
_cell_length_b 5.674
_cell_length_c 9.409
_cell_angle_alpha 90.00
_cell_angle_beta 125.66
_cell_angle_gamma 90.00
loop_
_space_group_symop_operation_xyz
'x,y,z'
'x,-y,z+1/2'
loop_
_atom_site_label
_atom_site_type_symbol
_atom_site_fract_x
_atom_site_fract_y
_atom_site_fract_z
Ca1 Ca 0.000 0.202 0.000
La1 La 0.519 0.290 0.501
Ti1 Ti 0.761 0.249 0.250
Mn1 Mn 0.262 0.249 0.752
O1 O 0.093 0.227 0.506
O2 O 0.423 0.270 0.997
O3 O 0.525 0.048 0.293
O4 O 0.604 0.467 0.795
O5 O 0.925 0.034 0.710
O6 O 0.999 0.446 0.207
```

***

# 6
# YCrW2O8
Simulated X-ray powder pattern, Cu Ka. Input: a PBE+U-relaxed structure.
Peak positions follow from Bragg's law for the DFT cell and can differ from measured ones.

Most intense lines, 2θ from 10° to 80°, sorted by position:
(hkl)	d (Å)	2theta	I (rel.)
0 1 0	5.382	16.5	37
0 0 1	5.249	16.9	73
0 1 1	4.822	18.4	41
1 1 0	3.387	26.3	100
1 -1 1	3.094	28.9	72
-1 1 1	3.043	29.4	81
1 1 2	2.916	30.7	75
0 2 1	2.902	30.8	38
0 0 2	2.625	34.2	36
2 0 1	2.553	35.1	41

Crystal structure
```
data_YCrW2O8
_space_group_name_H-M_alt 'P 1'
_space_group_IT_number 1
_cell_length_a 5.132
_cell_length_b 5.857
_cell_length_c 6.110
_cell_angle_alpha 67.60
_cell_angle_beta 69.09
_cell_angle_gamma 87.68
loop_
_space_group_symop_operation_xyz
'x,y,z'
loop_
_atom_site_label
_atom_site_type_symbol
_atom_site_fract_x
_atom_site_fract_y
_atom_site_fract_z
Y1 Y 0.000 0.000 0.000
Cr1 Cr 0.480 0.518 0.007
W1 W 0.218 0.690 0.520
W2 W 0.742 0.355 0.485
O1 O 0.134 0.502 0.311
O2 O 0.210 0.988 0.270
O3 O 0.250 0.758 0.804
O4 O 0.344 0.335 0.697
O5 O 0.645 0.706 0.311
O6 O 0.718 0.270 0.230
O7 O 0.784 0.064 0.720
O8 O 0.823 0.531 0.712
```

***

# 7
# Li2Mn4O5F3
Simulated X-ray powder pattern, Cu Ka. Input: a PBE+U-relaxed structure.
Peak positions follow from Bragg's law for the DFT cell and can differ from measured ones.

Most intense lines, 2θ from 10° to 80°, sorted by position:
(hkl)	d (Å)	2theta	I (rel.)
2 0 0	4.473	19.9	61
1 1 1	3.071	29.1	48
3 1 -1	3.058	29.2	54
0 2 0	3.002	29.8	100
3 1 0	2.670	33.6	94
1 1 -2	2.542	35.3	95
3 1 -2	2.534	35.4	68
1 3 -2	1.628	56.5	60
2 2 2	1.536	60.3	50
6 2 -2	1.529	60.6	49

Crystal structure
```
data_Li2Mn4O5F3
_space_group_name_H-M_alt 'C 1 m 1'
_space_group_IT_number 8
_cell_length_a 10.685
_cell_length_b 6.004
_cell_length_c 5.898
_cell_angle_alpha 90.00
_cell_angle_beta 123.15
_cell_angle_gamma 90.00
loop_
_space_group_symop_operation_xyz
'x,y,z'
'x,-y,z'
'x+1/2,y+1/2,z'
'x+1/2,-y+1/2,z'
loop_
_atom_site_label
_atom_site_type_symbol
_atom_site_fract_x
_atom_site_fract_y
_atom_site_fract_z
Li1 Li 0.000 0.245 0.000
Mn1 Mn 0.129 0.000 0.650
Mn2 Mn 0.249 0.500 0.004
Mn3 Mn 0.263 0.500 0.518
Mn4 Mn 0.361 0.000 0.367
O1 O 0.243 0.286 0.248
O2 O 0.254 0.284 0.760
O3 O 0.471 0.500 0.732
F1 F 0.001 0.000 0.235
F2 F 0.019 0.500 0.265
F3 F 0.499 0.000 0.779
```